No. 1
This entry pairs a crystal structure of Li10GeP2O12 with its calculated X-ray powder pattern. Radiation: CuKα. Structure: DFT lattice parameters and positions (PBE).
Intensities are scaled so that the largest is 1000.

Atomic structure:
Cell: 6.992 7.158 10.724 Å, 90.26 90.59 90.18°
Fractional coordinates of all 50 atoms:
1 Li 0.000 0.000 0.000
2 Li 0.003 0.983 0.732
3 Li 0.021 0.452 0.746
4 Li 0.086 0.023 0.483
5 Li 0.194 0.681 0.296
6 Li 0.234 0.735 0.803
7 Li 0.443 0.467 0.850
8 Li 0.446 0.945 0.383
9 Li 0.466 0.469 0.360
10 Li 0.473 0.045 0.653
11 Li 0.474 0.458 0.092
12 Li 0.493 0.429 0.617
13 Li 0.508 0.945 0.895
14 Li 0.518 0.981 0.126
15 Li 0.748 0.763 0.488
16 Li 0.767 0.268 0.162
17 Li 0.773 0.236 0.667
18 Li 0.944 0.941 0.237
19 Li 0.960 0.521 0.022
20 Li 0.978 0.449 0.415
21 Ge 0.234 0.707 0.554
22 Ge 0.730 0.225 0.909
23 P 0.210 0.214 0.234
24 P 0.246 0.731 0.057
25 P 0.721 0.198 0.421
26 P 0.745 0.716 0.736
27 O 0.030 0.711 0.450
28 O 0.032 0.191 0.147
29 O 0.049 0.741 0.125
30 O 0.199 0.398 0.312
31 O 0.204 0.037 0.321
32 O 0.227 0.926 0.634
33 O 0.250 0.546 0.978
34 O 0.252 0.530 0.668
35 O 0.265 0.900 0.969
36 O 0.402 0.218 0.164
37 O 0.409 0.724 0.157
38 O 0.437 0.697 0.453
39 O 0.539 0.218 0.796
40 O 0.541 0.209 0.507
41 O 0.562 0.714 0.817
42 O 0.712 0.419 0.011
43 O 0.714 0.010 0.345
44 O 0.715 0.028 0.010
45 O 0.722 0.368 0.332
46 O 0.739 0.892 0.651
47 O 0.750 0.532 0.656
48 O 0.904 0.211 0.504
49 O 0.937 0.726 0.812
50 O 0.942 0.215 0.819

Principal peaks in the range 2θ from 10° to 90°, in order of falling intensity:
d 5.001, I = 1000, (1 1 0)
d 3.671, I = 567, (1 1 -2)
d 5.952, I = 457, (0 1 1)
d 4.291, I = 431, (0 1 2)
d 3.579, I = 428, (0 2 0)
d 3.496, I = 367, (2 0 0)
d 3.653, I = 337, (1 -1 2)
d 2.723, I = 296, (-2 1 2)


No. 2
This entry pairs a crystal structure of Zr2TeBr12 with its calculated X-ray powder pattern. Radiation: CuKα. Structure: DFT lattice parameters and positions (PBE).
Intensities are scaled so that the largest is 1000.

Atomic structure:
Cell: 7.490 16.614 19.691 Å, 90.00 97.30 90.00°
Fractional coordinates of all 60 atoms:
1 Zr 0.186 0.193 0.328
2 Zr 0.186 0.307 0.828
3 Zr 0.261 0.185 0.519
4 Zr 0.261 0.315 0.019
5 Zr 0.739 0.685 0.981
6 Zr 0.739 0.815 0.481
7 Zr 0.814 0.693 0.172
8 Zr 0.814 0.807 0.672
9 Te 0.336 0.050 0.163
10 Te 0.336 0.450 0.663
11 Te 0.664 0.550 0.337
12 Te 0.664 0.950 0.837
13 Br 0.020 0.200 0.757
14 Br 0.020 0.300 0.257
15 Br 0.042 0.068 0.259
16 Br 0.042 0.432 0.759
17 Br 0.054 0.686 0.081
18 Br 0.054 0.814 0.581
19 Br 0.117 0.188 0.071
20 Br 0.117 0.312 0.571
21 Br 0.119 0.079 0.584
22 Br 0.119 0.421 0.084
23 Br 0.152 0.552 0.586
24 Br 0.152 0.948 0.086
25 Br 0.362 0.082 0.424
26 Br 0.362 0.418 0.924
27 Br 0.364 0.204 0.918
28 Br 0.364 0.296 0.418
29 Br 0.404 0.561 0.407
30 Br 0.404 0.939 0.907
31 Br 0.431 0.693 0.915
32 Br 0.431 0.807 0.415
33 Br 0.472 0.184 0.263
34 Br 0.472 0.316 0.763
35 Br 0.487 0.553 0.745
36 Br 0.487 0.947 0.245
37 Br 0.513 0.053 0.755
38 Br 0.513 0.447 0.255
39 Br 0.528 0.684 0.237
40 Br 0.528 0.816 0.737
41 Br 0.569 0.193 0.585
42 Br 0.569 0.307 0.085
43 Br 0.596 0.061 0.093
44 Br 0.596 0.439 0.593
45 Br 0.636 0.704 0.582
46 Br 0.636 0.796 0.082
47 Br 0.638 0.582 0.076
48 Br 0.638 0.918 0.576
49 Br 0.848 0.052 0.914
50 Br 0.848 0.448 0.414
51 Br 0.881 0.579 0.916
52 Br 0.881 0.921 0.416
53 Br 0.883 0.688 0.429
54 Br 0.883 0.812 0.929
55 Br 0.946 0.186 0.419
56 Br 0.946 0.314 0.919
57 Br 0.958 0.568 0.241
58 Br 0.958 0.932 0.741
59 Br 0.980 0.700 0.743
60 Br 0.980 0.800 0.243

Principal peaks in the range 2θ from 10° to 90°, in order of falling intensity:
d 3.087, I = 1000, (1 4 3)
d 3.255, I = 988, (1 4 -3)
d 6.782, I = 751, (1 1 0)
d 2.139, I = 553, (3 4 -1)
d 3.156, I = 532, (2 0 -4)
d 3.334, I = 307, (2 0 2)
d 2.579, I = 301, (1 4 5)
d 6.188, I = 269, (1 1 1)